Starting from DFT lattice parameters and positions (PBE), the powder XRD pattern of SiO2 was computed for Cu Kα, 1.54184 Å.
Neutral-atom scattering factors, no anomalous dispersion.

Most intense lines, 2θ from 15° to 90°, low angle first:
19.79°, d 4.486, rel. 64.9; 20.09°, d 4.419, rel. 58.1; 20.44°, d 4.346, rel. 43.5; 21.51°, d 4.132, rel. 100.0; 22.55°, d 3.943, rel. 38.8; 22.82°, d 3.897, rel. 45.7; 23.13°, d 3.846, rel. 45.4; 29.60°, d 3.018, rel. 24.2; 29.84°, d 2.994, rel. 28.0; 35.23°, d 2.548, rel. 22.8

Cell and atoms:
```
SiO2
1.0
5.022 0.000 0.000
0.000 8.264 0.000
-2.423 0.000 4.486
Si O
4 8
Direct
0.086 0.000 0.353 Si
0.242 0.625 0.306 Si
0.758 0.125 0.694 Si
0.914 0.500 0.647 Si
0.059 0.509 0.423 O
0.154 0.813 0.316 O
0.157 0.574 0.967 O
0.396 0.105 0.485 O
0.604 0.605 0.515 O
0.843 0.074 0.033 O
0.846 0.313 0.684 O
0.941 0.009 0.577 O
```



Starting from DFT lattice parameters and positions (PBE), the powder XRD pattern of NaSbO3 was computed for Cu Kα, 1.54184 Å.
Neutral-atom scattering factors, no anomalous dispersion.

Most intense lines, 2θ from 15° to 90°, low angle first:
18.69°, d 4.747, rel. 56.0; 18.77°, d 4.728, rel. 28.4; 29.61°, d 3.017, rel. 45.1; 29.71°, d 3.007, rel. 100.0; 29.91°, d 2.987, rel. 40.2; 30.13°, d 2.966, rel. 31.2; 34.93°, d 2.568, rel. 28.2; 35.10°, d 2.557, rel. 30.2; 35.38°, d 2.537, rel. 32.7; 58.40°, d 1.580, rel. 17.9

Cell and atoms:
```
NaSbO3
1.0
8.105 0.000 0.000
-2.584 7.745 0.000
-2.729 -3.798 6.793
Na Sb O
6 6 18
Direct
0.000 0.000 0.000 Na
0.014 0.483 0.322 Na
0.329 0.848 0.298 Na
0.500 0.500 0.000 Na
0.671 0.152 0.702 Na
0.986 0.517 0.678 Na
0.159 0.163 0.501 Sb
0.340 0.003 0.840 Sb
0.499 0.340 0.337 Sb
0.501 0.660 0.663 Sb
0.660 0.997 0.160 Sb
0.841 0.837 0.499 Sb
0.010 0.863 0.366 O
0.048 0.835 0.718 O
0.274 0.456 0.661 O
0.283 0.122 0.328 O
0.335 0.220 0.046 O
0.337 0.795 0.619 O
0.359 0.863 0.003 O
0.362 0.509 0.365 O
0.384 0.173 0.714 O
0.616 0.827 0.286 O
0.638 0.491 0.635 O
0.641 0.137 0.997 O
0.663 0.205 0.381 O
0.665 0.780 0.954 O
0.717 0.878 0.672 O
0.726 0.544 0.339 O
0.952 0.165 0.282 O
0.990 0.137 0.634 O
```



Starting from DFT lattice parameters and positions (PBE), the powder XRD pattern of Mn2CoGe was computed for Cu Kα, 1.54184 Å.
Neutral-atom scattering factors, no anomalous dispersion.

Most intense lines, 2θ from 15° to 90°, low angle first:
26.93°, d 3.310, rel. 1.6; 44.70°, d 2.027, rel. 100.0; 52.96°, d 1.729, rel. 1.0; 65.07°, d 1.433, rel. 15.0; 82.40°, d 1.170, rel. 29.7

Cell and atoms:
```
Mn2CoGe
1.0
0.000 2.867 2.867
2.867 0.000 2.867
2.867 2.867 0.000
Mn Co Ge
2 1 1
Direct
0.000 0.000 0.000 Mn
0.250 0.250 0.250 Mn
0.500 0.500 0.500 Co
0.750 0.750 0.750 Ge
```



Starting from DFT lattice parameters and positions (PBE), the powder XRD pattern of Pr4Ge3 was computed for Cu Kα, 1.54184 Å.
Neutral-atom scattering factors, no anomalous dispersion.

Most intense lines, 2θ from 15° to 90°, low angle first:
23.54°, d 3.779, rel. 9.9; 27.25°, d 3.272, rel. 14.0; 30.54°, d 2.927, rel. 100.0; 36.32°, d 2.474, rel. 61.4; 48.16°, d 1.889, rel. 18.6; 50.26°, d 1.815, rel. 32.9; 61.79°, d 1.501, rel. 22.1; 63.58°, d 1.463, rel. 11.8; 65.34°, d 1.428, rel. 14.4; 75.48°, d 1.260, rel. 14.6

Cell and atoms:
```
Pr4Ge3
1.0
-4.628 4.628 4.628
4.628 -4.628 4.628
4.628 4.628 -4.628
Pr Ge
8 6
Direct
0.000 0.133 0.500 Pr
0.000 0.633 0.500 Pr
0.133 0.500 0.000 Pr
0.367 0.367 0.367 Pr
0.500 0.000 0.133 Pr
0.500 0.000 0.633 Pr
0.633 0.500 0.000 Pr
0.867 0.867 0.867 Pr
0.125 0.875 0.250 Ge
0.250 0.125 0.875 Ge
0.375 0.625 0.750 Ge
0.625 0.750 0.375 Ge
0.750 0.375 0.625 Ge
0.875 0.250 0.125 Ge
```



Starting from DFT lattice parameters and positions (PBE), the powder XRD pattern of MgSi2 was computed for Cu Kα, 1.54184 Å.
Neutral-atom scattering factors, no anomalous dispersion.

Most intense lines, 2θ from 15° to 90°, low angle first:
31.24°, d 2.863, rel. 9.7; 34.86°, d 2.574, rel. 25.1; 38.88°, d 2.317, rel. 67.9; 40.62°, d 2.221, rel. 100.0; 44.79°, d 2.023, rel. 19.9; 49.62°, d 1.837, rel. 11.7; 52.10°, d 1.755, rel. 8.2; 64.78°, d 1.439, rel. 10.3; 71.60°, d 1.318, rel. 9.8; 79.68°, d 1.203, rel. 13.6

Cell and atoms:
```
MgSi2
1.0
7.597 0.000 0.000
0.000 5.727 0.000
-0.007 0.000 9.260
Mg Si
8 16
Direct
0.000 0.000 0.000 Mg
0.004 0.500 0.014 Mg
0.209 0.500 0.286 Mg
0.229 0.000 0.295 Mg
0.492 0.000 0.797 Mg
0.512 0.500 0.785 Mg
0.717 0.500 0.513 Mg
0.723 0.000 0.500 Mg
0.045 0.278 0.521 Si
0.045 0.722 0.521 Si
0.177 0.283 0.779 Si
0.177 0.717 0.779 Si
0.337 0.226 0.034 Si
0.337 0.774 0.034 Si
0.384 0.224 0.533 Si
0.384 0.776 0.533 Si
0.544 0.283 0.279 Si
0.544 0.717 0.279 Si
0.677 0.278 0.021 Si
0.677 0.722 0.021 Si
0.837 0.221 0.764 Si
0.837 0.779 0.764 Si
0.884 0.221 0.263 Si
0.884 0.779 0.263 Si
```



Starting from DFT lattice parameters and positions (PBE), the powder XRD pattern of Ta2Hg2F11 was computed for Cu Kα, 1.54184 Å.
Neutral-atom scattering factors, no anomalous dispersion.

Most intense lines, 2θ from 15° to 90°, low angle first:
21.14°, d 4.203, rel. 30.6; 22.83°, d 3.894, rel. 100.0; 23.00°, d 3.866, rel. 47.7; 23.39°, d 3.803, rel. 29.9; 31.13°, d 2.873, rel. 13.0; 37.69°, d 2.386, rel. 13.0; 40.31°, d 2.238, rel. 13.9; 43.80°, d 2.067, rel. 18.2; 44.62°, d 2.031, rel. 19.0; 45.84°, d 1.980, rel. 20.2

Cell and atoms:
```
Ta2Hg2F11
1.0
11.942 -3.866 0.000
11.942 3.866 0.000
-9.002 0.000 12.042
Ta Hg F
8 8 44
Direct
0.077 0.625 0.483 Ta
0.087 0.702 0.871 Ta
0.298 0.913 0.629 Ta
0.375 0.923 0.017 Ta
0.625 0.077 0.983 Ta
0.702 0.087 0.371 Ta
0.913 0.298 0.129 Ta
0.923 0.375 0.517 Ta
0.057 0.532 0.126 Hg
0.199 0.668 0.215 Hg
0.332 0.801 0.285 Hg
0.468 0.943 0.374 Hg
0.532 0.057 0.626 Hg
0.668 0.199 0.715 Hg
0.801 0.332 0.785 Hg
0.943 0.468 0.874 Hg
0.004 0.900 0.853 F
0.037 0.216 0.393 F
0.078 0.124 0.538 F
0.100 0.996 0.647 F
0.109 0.263 0.252 F
0.116 0.550 0.904 F
0.124 0.078 0.038 F
0.143 0.322 0.610 F
0.156 0.522 0.355 F
0.207 0.401 0.500 F
0.216 0.037 0.893 F
0.244 0.699 0.013 F
0.263 0.109 0.752 F
0.274 0.509 0.791 F
0.277 0.600 0.577 F
0.301 0.756 0.487 F
0.322 0.143 0.110 F
0.400 0.723 0.923 F
0.401 0.207 0.000 F
0.450 0.884 0.596 F
0.478 0.844 0.145 F
0.491 0.726 0.709 F
0.509 0.274 0.291 F
0.522 0.156 0.855 F
0.550 0.116 0.404 F
0.599 0.793 0.000 F
0.600 0.277 0.077 F
0.678 0.857 0.890 F
0.699 0.244 0.513 F
0.723 0.400 0.423 F
0.726 0.491 0.209 F
0.737 0.891 0.248 F
0.756 0.301 0.987 F
0.784 0.963 0.107 F
0.793 0.599 0.500 F
0.844 0.478 0.645 F
0.857 0.678 0.390 F
0.876 0.922 0.962 F
0.884 0.450 0.096 F
0.891 0.737 0.748 F
0.900 0.004 0.353 F
0.922 0.876 0.462 F
0.963 0.784 0.607 F
0.996 0.100 0.147 F
```



Starting from DFT lattice parameters and positions (PBE), the powder XRD pattern of Y3GeO8 was computed for Cu Kα, 1.54184 Å.
Neutral-atom scattering factors, no anomalous dispersion.

Most intense lines, 2θ from 15° to 90°, low angle first:
15.06°, d 5.884, rel. 48.2; 24.11°, d 3.692, rel. 37.5; 26.04°, d 3.422, rel. 73.9; 26.94°, d 3.309, rel. 44.1; 30.88°, d 2.896, rel. 100.0; 31.93°, d 2.803, rel. 35.3; 32.50°, d 2.755, rel. 36.7; 34.59°, d 2.593, rel. 37.8; 49.70°, d 1.835, rel. 35.7; 53.48°, d 1.713, rel. 35.2

Cell and atoms:
```
Y3GeO8
1.0
5.442 0.000 0.000
0.000 10.379 0.000
-1.591 0.000 5.884
Y Ge O
6 2 16
Direct
0.186 0.044 0.300 Y
0.186 0.456 0.300 Y
0.286 0.250 0.810 Y
0.714 0.750 0.190 Y
0.814 0.544 0.700 Y
0.814 0.956 0.700 Y
0.306 0.750 0.519 Ge
0.694 0.250 0.481 Ge
0.042 0.631 0.467 O
0.042 0.869 0.467 O
0.102 0.250 0.116 O
0.204 0.032 0.934 O
0.204 0.468 0.934 O
0.470 0.750 0.817 O
0.488 0.626 0.396 O
0.488 0.874 0.396 O
0.512 0.126 0.604 O
0.512 0.374 0.604 O
0.530 0.250 0.183 O
0.796 0.532 0.066 O
0.796 0.968 0.066 O
0.898 0.750 0.884 O
0.958 0.131 0.533 O
0.958 0.369 0.533 O
```



Starting from DFT lattice parameters and positions (PBE), the powder XRD pattern of Na4Ca2SiAs4 was computed for Cu Kα, 1.54184 Å.
Neutral-atom scattering factors, no anomalous dispersion.

Most intense lines, 2θ from 15° to 90°, low angle first:
24.68°, d 3.607, rel. 48.0; 24.86°, d 3.581, rel. 48.5; 25.11°, d 3.546, rel. 52.9; 25.26°, d 3.525, rel. 54.6; 32.73°, d 2.736, rel. 61.6; 33.28°, d 2.692, rel. 57.1; 33.62°, d 2.666, rel. 57.3; 35.34°, d 2.540, rel. 53.3; 37.82°, d 2.379, rel. 46.5; 38.09°, d 2.362, rel. 100.0

Cell and atoms:
```
Na4Ca2SiAs4
1.0
4.760 -8.164 0.000
4.760 8.164 0.000
-0.219 0.000 7.162
Na Ca Si As
8 4 2 8
Direct
0.062 0.355 0.487 Na
0.073 0.927 0.500 Na
0.161 0.689 0.799 Na
0.353 0.505 0.977 Na
0.355 0.062 0.987 Na
0.505 0.353 0.477 Na
0.689 0.161 0.299 Na
0.927 0.073 0.000 Na
0.263 0.740 0.301 Ca
0.694 0.741 0.302 Ca
0.740 0.263 0.801 Ca
0.741 0.694 0.802 Ca
0.544 0.877 0.685 Si
0.877 0.544 0.185 Si
0.016 0.824 0.092 As
0.022 0.412 0.080 As
0.412 0.022 0.580 As
0.413 0.602 0.564 As
0.550 0.877 0.022 As
0.602 0.413 0.064 As
0.824 0.016 0.592 As
0.877 0.550 0.522 As
```